This entry pairs a crystal structure of RbCaTlSiTeF with its computed X-ray diffraction stick pattern. Radiation: Cu Kα. Structure: DFT lattice parameters and positions (GGA-PBE).
Peak positions follow from Bragg's law for the DFT cell and can differ from measured ones.

The 10 most intense peaks (2θ = 10–90°), low angle first:
index  two_theta  I (rel.)
0 1 0  15.28  77
1 0 0  19.12  80
1 1 0  22.62  58
1 1 1  23.29  63
1 -1 0  26.38  65
0 0 2  27.01  100
1 1 -1  29.18  68
0 2 0  30.85  69
0 2 2  32.02  62
-1 1 2  32.89  77

a = 4.702 Å, b = 6.394 Å, c = 7.197 Å
α = 66.59°, β = 87.68°, γ = 80.95°
Space group P1 (No. 1)
Asymmetric unit:
Rb1 0.000 0.000 0.000 (multiplicity 1)
Ca1 0.481 0.911 0.509 (multiplicity 1)
Tl1 0.516 0.496 0.028 (multiplicity 1)
Si1 0.029 0.619 0.752 (multiplicity 1)
Te1 0.355 0.410 0.555 (multiplicity 1)
F1 0.490 0.025 0.189 (multiplicity 1)